No. 1
Diffraction record for Sm11Dy9Er4. The powder diffraction line list is theoretical, not measured: it uses a structure optimized by DFT (PBE) and λ = 1.5418 Å (Cu Kα).
Lines closer than 0.1° are merged.

```
data_Sm11Dy9Er4
_chemical_formula_sum 'Sm22 Dy18 Er8'
_cell_length_a 16.8704
_cell_length_b 25.5611
_cell_length_c 3.6385
_cell_angle_alpha 90.00
_cell_angle_beta 90.00
_cell_angle_gamma 90.00
_symmetry_space_group_name_H-M 'C m m m'
_symmetry_Int_Tables_number 65
_symmetry_space_group_name_Hall '-C 2 2'
loop_
_atom_site_label
_atom_site_type_symbol
_atom_site_fract_x
_atom_site_fract_y
_atom_site_fract_z
Sm1 Sm 0.0000 0.0000 0.0000
Sm2 Sm 0.0000 0.1607 0.0000
Sm3 Sm 0.0000 0.3686 0.0000
Sm4 Sm 0.2075 0.5000 0.0000
Sm5 Sm 0.2245 0.1811 0.0000
Dy1 Dy 0.0000 0.5000 0.5000
Dy2 Dy 0.1022 0.2676 0.5000
Dy3 Dy 0.1412 0.0730 0.5000
Er1 Er 0.1569 0.3983 0.5000
```

Main lines, low angle first (10 to 90 degrees two-theta):
2θ/deg, I_rel
29.82, 100
30.19, 30
31.10, 31
31.80, 16
31.95, 26
32.36, 84
32.50, 85
32.61, 17
50.14, 23
59.44, 29


No. 2
Diffraction record for Sm4Dy5Er. The powder diffraction line list is theoretical, not measured: it uses a structure optimized by DFT (PBE) and λ = 1.5418 Å (Cu Kα).
Lines closer than 0.1° are merged.

```
data_Sm4Dy5Er
_chemical_formula_sum 'Sm8 Dy10 Er2'
_cell_length_a 10.6235
_cell_length_b 10.6235
_cell_length_c 5.9389
_cell_angle_alpha 90.00
_cell_angle_beta 90.00
_cell_angle_gamma 90.00
_symmetry_space_group_name_H-M 'I 4 m m'
_symmetry_Int_Tables_number 107
_symmetry_space_group_name_Hall 'I 4 -2'
loop_
_atom_site_label
_atom_site_type_symbol
_atom_site_fract_x
_atom_site_fract_y
_atom_site_fract_z
Sm1 Sm 0.0000 0.3230 0.0000
Dy1 Dy 0.0000 0.0000 0.2404
Dy2 Dy 0.1888 0.1888 0.5042
Er1 Er 0.0000 0.0000 0.7660
```

Main lines, low angle first (10 to 90 degrees two-theta):
2θ/deg, I_rel
29.37, 100
30.09, 14
32.42, 13
34.61, 20
35.86, 43
49.11, 12
51.62, 13
52.99, 16
59.53, 12
60.50, 18


No. 3
Diffraction record for Sm2Dy2Er5. The powder diffraction line list is theoretical, not measured: it uses a structure optimized by DFT (PBE) and λ = 1.5418 Å (Cu Kα).
Lines closer than 0.1° are merged.

```
data_Sm2Dy2Er5
_chemical_formula_sum 'Sm8 Dy8 Er20'
_cell_length_a 14.8460
_cell_length_b 11.7137
_cell_length_c 6.6823
_cell_angle_alpha 90.00
_cell_angle_beta 90.00
_cell_angle_gamma 90.00
_symmetry_space_group_name_H-M 'I m a 2'
_symmetry_Int_Tables_number 46
loop_
_symmetry_equiv_pos_as_xyz
'x,y,z'
'-x,-y,z'
'-x+1/2,y,z'
'x+1/2,-y,z'
'x+1/2,y+1/2,z+1/2'
'-x+1/2,-y+1/2,z+1/2'
'-x,y+1/2,z+1/2'
'x,-y+1/2,z+1/2'
loop_
_atom_site_label
_atom_site_type_symbol
_atom_site_fract_x
_atom_site_fract_y
_atom_site_fract_z
Sm1 Sm 0.0000 0.0000 0.0000
Sm2 Sm 0.2500 0.0117 0.9006
Dy1 Dy 0.1269 0.5055 0.9514
Er1 Er 0.0528 0.7432 0.3017
Er2 Er 0.1423 0.2370 0.1141
Er3 Er 0.2500 0.7504 0.1074
```

Main lines, low angle first (10 to 90 degrees two-theta):
2θ/deg, I_rel
28.55, 84
30.53, 100
30.81, 76
31.07, 60
33.14, 65
33.25, 50
35.99, 52
38.08, 42
39.91, 26
59.09, 24


No. 4
Diffraction record for Sm2Dy7Er. The powder diffraction line list is theoretical, not measured: it uses a structure optimized by DFT (PBE) and λ = 1.5418 Å (Cu Kα).
Lines closer than 0.1° are merged.

```
data_Sm2Dy7Er
_chemical_formula_sum 'Sm2 Dy7 Er1'
_cell_length_a 6.1549
_cell_length_b 6.1586
_cell_length_c 9.3976
_cell_angle_alpha 102.62
_cell_angle_beta 109.07
_cell_angle_gamma 99.53
_symmetry_space_group_name_H-M 'P -1'
_symmetry_Int_Tables_number 2
loop_
_symmetry_equiv_pos_as_xyz
'x,y,z'
'-x,-y,-z'
loop_
_atom_site_label
_atom_site_type_symbol
_atom_site_fract_x
_atom_site_fract_y
_atom_site_fract_z
Sm1 Sm 0.1000 0.0008 0.2006
Dy1 Dy 0.1006 0.5000 0.6992
Dy2 Dy 0.3000 0.0002 0.5992
Dy3 Dy 0.3009 0.5013 0.1006
Dy4 Dy 0.5000 0.0000 0.0000
Er1 Er 0.5000 0.5000 0.5000
```

Main lines, low angle first (10 to 90 degrees two-theta):
2θ/deg, I_rel
30.81, 100
35.72, 51
51.42, 36
61.14, 36
61.20, 7
64.18, 12
83.86, 9
83.95, 9
86.55, 7
86.65, 10


No. 5
Diffraction record for Sm3Dy4Er3. The powder diffraction line list is theoretical, not measured: it uses a structure optimized by DFT (PBE) and λ = 1.5418 Å (Cu Kα).
Lines closer than 0.1° are merged.

```
data_Sm3Dy4Er3
_chemical_formula_sum 'Sm6 Dy8 Er6'
_cell_length_a 3.6848
_cell_length_b 13.2099
_cell_length_c 13.2630
_cell_angle_alpha 90.00
_cell_angle_beta 90.00
_cell_angle_gamma 90.00
_symmetry_space_group_name_H-M 'A m m 2'
_symmetry_Int_Tables_number 38
loop_
_symmetry_equiv_pos_as_xyz
'x,y,z'
'-x,-y,z'
'-x,y,z'
'x,-y,z'
'x,y+1/2,z+1/2'
'-x,-y+1/2,z+1/2'
'-x,y+1/2,z+1/2'
'x,-y+1/2,z+1/2'
loop_
_atom_site_label
_atom_site_type_symbol
_atom_site_fract_x
_atom_site_fract_y
_atom_site_fract_z
Sm1 Sm 0.0000 0.0000 0.0000
Sm2 Sm 0.0000 0.1730 0.6717
Dy1 Dy 0.5000 0.0000 0.5449
Dy2 Dy 0.5000 0.0000 0.7988
Dy3 Dy 0.5000 0.1258 0.1744
Er1 Er 0.0000 0.0000 0.3454
Er2 Er 0.5000 0.2472 0.4211
```

Main lines, low angle first (10 to 90 degrees two-theta):
2θ/deg, I_rel
30.20, 65
30.89, 31
32.37, 100
39.03, 10
39.71, 9
47.02, 12
49.47, 12
55.97, 17
58.81, 8
59.06, 19


No. 6
Diffraction record for Sm4Dy8Er. The powder diffraction line list is theoretical, not measured: it uses a structure optimized by DFT (PBE) and λ = 1.5418 Å (Cu Kα).
Lines closer than 0.1° are merged.

```
data_Sm4Dy8Er
_chemical_formula_sum 'Sm4 Dy8 Er1'
_cell_length_a 7.7678
_cell_length_b 7.7678
_cell_length_c 7.7678
_cell_angle_alpha 90.00
_cell_angle_beta 90.00
_cell_angle_gamma 90.00
_symmetry_space_group_name_H-M 'P m -3 m'
_symmetry_Int_Tables_number 221
_symmetry_space_group_name_Hall '-P 4 2 3'
loop_
_atom_site_label
_atom_site_type_symbol
_atom_site_fract_x
_atom_site_fract_y
_atom_site_fract_z
Sm1 Sm 0.0000 0.0000 0.0000
Sm2 Sm 0.0000 0.5000 0.5000
Dy1 Dy 0.2402 0.2402 0.2402
Er1 Er 0.5000 0.5000 0.5000
```

Main lines, low angle first (10 to 90 degrees two-theta):
2θ/deg, I_rel
19.80, 11
22.90, 8
25.64, 5
32.61, 100
38.44, 6
46.78, 18
58.18, 37
68.31, 11
77.76, 15
86.88, 4


No. 7
Diffraction record for Sm7DyEr2. The powder diffraction line list is theoretical, not measured: it uses a structure optimized by DFT (PBE) and λ = 1.5418 Å (Cu Kα).
Lines closer than 0.1° are merged.

```
data_Sm7DyEr2
_chemical_formula_sum 'Sm14 Dy2 Er4'
_cell_length_a 18.3480
_cell_length_b 5.5197
_cell_length_c 7.0660
_cell_angle_alpha 90.00
_cell_angle_beta 112.59
_cell_angle_gamma 90.00
_symmetry_space_group_name_H-M 'C 1 2/m 1'
_symmetry_Int_Tables_number 12
loop_
_symmetry_equiv_pos_as_xyz
'x,y,z'
'-x,-y,-z'
'-x,y,-z'
'x,-y,z'
'x+1/2,y+1/2,z'
'-x+1/2,-y+1/2,-z'
'-x+1/2,y+1/2,-z'
'x+1/2,-y+1/2,z'
loop_
_atom_site_label
_atom_site_type_symbol
_atom_site_fract_x
_atom_site_fract_y
_atom_site_fract_z
Sm1 Sm 0.0000 0.0000 0.0000
Sm2 Sm 0.1088 0.5000 0.3594
Sm3 Sm 0.1088 0.5000 0.8590
Sm4 Sm 0.1988 0.0000 0.6990
Dy1 Dy 0.0000 0.0000 0.5000
Er1 Er 0.1996 0.0000 0.1998
```

Main lines, low angle first (10 to 90 degrees two-theta):
2θ/deg, I_rel
30.50, 86
30.97, 100
32.44, 46
33.02, 40
34.06, 16
40.92, 15
46.96, 30
56.95, 18
57.98, 17
61.54, 28


No. 8
Diffraction record for Sm2Dy9Er. The powder diffraction line list is theoretical, not measured: it uses a structure optimized by DFT (PBE) and λ = 1.5418 Å (Cu Kα).
Lines closer than 0.1° are merged.

```
data_Sm2Dy9Er
_chemical_formula_sum 'Sm2 Dy9 Er1'
_cell_length_a 11.2284
_cell_length_b 11.2284
_cell_length_c 3.4879
_cell_angle_alpha 90.00
_cell_angle_beta 90.00
_cell_angle_gamma 120.00
_symmetry_space_group_name_H-M 'P 6/m m m'
_symmetry_Int_Tables_number 191
_symmetry_space_group_name_Hall '-P 6 2'
loop_
_atom_site_label
_atom_site_type_symbol
_atom_site_fract_x
_atom_site_fract_y
_atom_site_fract_z
Sm1 Sm 0.3333 0.6667 0.0000
Dy1 Dy 0.0000 0.5000 0.0000
Dy2 Dy 0.1739 0.3479 0.5000
Er1 Er 0.0000 0.0000 0.0000
```

Main lines, low angle first (10 to 90 degrees two-theta):
2θ/deg, I_rel
30.17, 25
31.57, 55
31.88, 100
35.48, 14
37.89, 14
45.48, 20
56.61, 20
56.81, 19
62.72, 29
80.99, 14